Entry 1:
La6NdDy2Y: simulated powder diffraction line list (CuKα), based on a crystal structure in Alexandria, relaxed with PBE.
Lines closer than 0.1° are merged.

Principal peaks in the range 10° ≤ 2θ ≤ 90°, by angle:
- d = 3.344 Å, 2θ 26.7, intensity 53
- d = 3.022 Å, 2θ 29.6, intensity 50
- d = 2.980 Å, 2θ 30.0, intensity 100
- d = 2.946 Å, 2θ 30.3, intensity 36
- d = 2.921 Å, 2θ 30.6, intensity 30
- d = 2.880 Å, 2θ 31.1, intensity 72
- d = 2.838 Å, 2θ 31.5, intensity 35
- d = 2.786 Å, 2θ 32.1, intensity 39
- d = 2.776 Å, 2θ 32.2, intensity 34
- d = 1.672 Å, 2θ 54.9, intensity 27

Structural model:
```
data_La6NdDy2Y
_chemical_formula_sum 'La12 Nd2 Dy4 Y2'
_cell_length_a 11.386
_cell_length_b 7.218
_cell_length_c 9.026
_cell_angle_alpha 90.00
_cell_angle_beta 103.88
_cell_angle_gamma 90.00
_symmetry_space_group_name_H-M 'C 1 2/m 1'
_symmetry_Int_Tables_number 12
loop_
_symmetry_equiv_pos_as_xyz
'x,y,z'
'-x,-y,-z'
'-x,y,-z'
'x,-y,z'
'x+1/2,y+1/2,z'
'-x+1/2,-y+1/2,-z'
'-x+1/2,y+1/2,-z'
'x+1/2,-y+1/2,z'
loop_
_atom_site_label
_atom_site_type_symbol
_atom_site_fract_x
_atom_site_fract_y
_atom_site_fract_z
La1 La 0.133 0.000 0.431
La2 La 0.182 0.279 0.801
Nd1 Nd 0.000 0.000 0.000
Dy1 Dy 0.088 0.500 0.165
Y1 Y 0.000 0.500 0.500
```

Entry 2:
Ti6GeN: simulated powder diffraction line list (CuKα), based on a crystal structure in Alexandria, relaxed with PBE.
Lines closer than 0.1° are merged.

Principal peaks in the range 10° ≤ 2θ ≤ 90°, by angle:
- d = 3.074 Å, 2θ 29.0, intensity 17
- d = 2.414 Å, 2θ 37.2, intensity 100
- d = 2.296 Å, 2θ 39.2, intensity 33
- d = 2.064 Å, 2θ 43.9, intensity 74
- d = 1.969 Å, 2θ 46.1, intensity 25
- d = 1.495 Å, 2θ 62.1, intensity 15
- d = 1.432 Å, 2θ 65.1, intensity 20
- d = 1.338 Å, 2θ 70.4, intensity 16
- d = 1.268 Å, 2θ 74.9, intensity 15
- d = 1.140 Å, 2θ 85.1, intensity 10

Structural model:
```
data_Ti6GeN
_chemical_formula_sum 'Ti18 Ge3 N3'
_cell_length_a 7.8761
_cell_length_b 7.8761
_cell_length_c 6.8883
_cell_angle_alpha 90.00
_cell_angle_beta 90.00
_cell_angle_gamma 120.00
_symmetry_space_group_name_H-M 'R -3 m'
_symmetry_Int_Tables_number 166
_symmetry_space_group_name_Hall '-R 3 2"'
loop_
_atom_site_label
_atom_site_type_symbol
_atom_site_fract_x
_atom_site_fract_y
_atom_site_fract_z
Ti1 Ti 0.0737 0.5369 0.3177
Ge1 Ge 0.0000 0.0000 0.0000
N1 N 0.0000 0.0000 0.5000
```